This entry pairs a crystal structure of VMo2O8 with its computed PXRD pattern. Radiation: Cu Kα (weighted mean of Kα1 and Kα2). Structure: a DFT-relaxed cell (PBE+U, Alexandria).
Intensities are scaled so that the largest is 100.

```
VMo2O8
1.0
6.2909 -3.4449 0.0000
6.2909 3.4449 0.0000
-6.1835 0.0000 8.2014
V Mo O
2 4 16
direct
0.0217 0.9783 0.7500
0.9783 0.0217 0.2500
0.2394 0.6770 0.4992
0.3230 0.7606 0.0008
0.6770 0.2394 0.9992
0.7606 0.3230 0.5008
0.0377 0.2334 0.4727
0.1174 0.7591 0.3203
0.1235 0.6801 0.7934
0.2334 0.0377 0.9727
0.2409 0.8826 0.1797
0.3199 0.8765 0.7066
0.3716 0.4028 0.9737
0.4028 0.3716 0.4737
0.5972 0.6284 0.5263
0.6284 0.5972 0.0263
0.6801 0.1235 0.2934
0.7591 0.1174 0.8203
0.7666 0.9623 0.0273
0.8765 0.3199 0.2066
0.8826 0.2409 0.6797
0.9623 0.7666 0.5273
```

Largest 8 diffraction maxima, in order of rising 2θ, 2θ = 10–80°:
15.65°, I 23
17.66°, I 100
17.88°, I 24
21.67°, I 23
21.99°, I 24
25.39°, I 21
31.62°, I 29
38.77°, I 19